No. 1
# Sm5DyY5
Computed X-ray powder pattern, CuKα. Input: a PBE-relaxed structure.
Intensities are scaled so that the largest is 1000.

Peak list (10 most intense, 10° ≤ 2θ ≤ 80°, low angle first)
| 2theta | I_rel | index |
| --- | --- | --- |
| 28.72 | 1000 | 1 0 3 |
| 29.06 | 836 | 1 1 0 |
| 30.11 | 406 | 1 1 1 |
| 33.06 | 303 | 1 1 2 |
| 34.60 | 358 | 2 0 1 |
| 35.52 | 319 | 1 0 4 |
| 37.24 | 604 | 2 0 2 |
| 37.53 | 319 | 1 1 3 |
| 51.30 | 366 | 2 1 3 |
| 60.23 | 330 | 2 2 0 |

```
data_Sm5DyY5
_symmetry_space_group_name_H-M 'P -6 m 2'
_symmetry_Int_Tables_number 187
_symmetry_space_group_name_Hall 'P -6 2'
_cell_length_a 6.1457
_cell_length_b 6.1457
_cell_length_c 11.4862
_cell_angle_alpha 90.00
_cell_angle_beta 90.00
_cell_angle_gamma 120.00
loop_
_atom_site_label
_atom_site_fract_x
_atom_site_fract_y
_atom_site_fract_z
_atom_site_occupancy
Sm1 0.0000 0.0000 0.2362 1
Sm2 0.3398 0.1699 0.0000 1
Dy1 0.3333 0.6667 0.5000 1
Y1 0.0000 0.0000 0.5000 1
Y2 0.3333 0.6667 0.1808 1
Y3 0.6667 0.3333 0.3404 1
```

No. 2
# Sm2DyY3
Computed X-ray powder pattern, CuKα. Input: a PBE-relaxed structure.
Intensities are scaled so that the largest is 1000.

Peak list (10 most intense, 10° ≤ 2θ ≤ 80°, low angle first)
| 2theta | I_rel | index |
| --- | --- | --- |
| 27.56 | 522 | 1 1 1 |
| 28.29 | 430 | 1 1 -2 |
| 30.55 | 1000 | 6 0 -3 |
| 31.61 | 913 | 4 0 2 |
| 31.76 | 884 | 2 0 -5 |
| 31.90 | 462 | 1 1 -3 |
| 33.08 | 653 | 3 1 1 |
| 36.08 | 519 | 3 1 -4 |
| 36.30 | 390 | 5 1 -1 |
| 62.21 | 337 | 2 2 -5 |

```
data_Sm2DyY3
_symmetry_space_group_name_H-M 'C 1 2/m 1'
_symmetry_Int_Tables_number 12
_cell_length_a 17.870
_cell_length_b 3.519
_cell_length_c 14.258
_cell_angle_alpha 90.00
_cell_angle_beta 117.30
_cell_angle_gamma 90.00
loop_
_symmetry_equiv_pos_as_xyz
'x,y,z'
'-x,-y,-z'
'-x,y,-z'
'x,-y,z'
'x+1/2,y+1/2,z'
'-x+1/2,-y+1/2,-z'
'-x+1/2,y+1/2,-z'
'x+1/2,-y+1/2,z'
loop_
_atom_site_label
_atom_site_fract_x
_atom_site_fract_y
_atom_site_fract_z
_atom_site_occupancy
Sm1 0.157 0.000 0.470 1
Sm2 0.181 0.500 0.881 1
Dy1 0.063 0.000 0.643 1
Y1 0.038 0.500 0.213 1
Y2 0.099 0.000 0.026 1
Y3 0.238 0.000 0.292 1
```